The following is a theoretical PXRD pattern of Th2Ga3Pt9. It was derived from a structure optimized by DFT (GGA-PBE), using copper Kα.
Lines closer than 0.1° are merged.

Crystal structure
```
Th2Ga3Pt9
1.0
6.765 -3.906 0.000
6.765 3.906 0.000
-4.623 0.000 9.417
Th Ga Pt
4 6 18
Direct
0.083 0.255 0.251
0.255 0.083 0.751
0.745 0.917 0.249
0.917 0.745 0.749
0.000 0.500 0.000
0.145 0.678 0.501
0.322 0.855 0.999
0.500 0.000 0.500
0.678 0.145 0.001
0.855 0.322 0.499
0.029 0.852 0.074
0.148 0.971 0.426
0.200 0.358 0.574
0.202 0.587 0.253
0.309 0.475 0.924
0.358 0.200 0.074
0.367 0.633 0.750
0.413 0.798 0.247
0.475 0.309 0.424
0.525 0.691 0.576
0.587 0.202 0.753
0.633 0.367 0.250
0.642 0.800 0.926
0.691 0.525 0.076
0.798 0.413 0.747
0.800 0.642 0.426
0.852 0.029 0.574
0.971 0.148 0.926
```

Peak list (10 most intense, 2θ from 10° to 90°, by angle)
- 35.3 deg, rel. 145
- 36.5 deg, rel. 572
- 36.7 deg, rel. 559
- 36.9 deg, rel. 566
- 40.0 deg, rel. 1000
- 46.5 deg, rel. 116
- 55.7 deg, rel. 122
- 58.8 deg, rel. 134
- 72.6 deg, rel. 130
- 86.3 deg, rel. 147